Entry 1:
Simulated X-ray powder pattern
Compound: Li2Mn2SbO6
Radiation: λ = 1.5418 Å (Cu Kα)
Structure: DFT lattice parameters and positions (PBE+U)

Peak list (8 most intense, 2θ = 5–70°, by angle)
2theta	Rel. int.
17.2	100.0
20.5	20.1
32.1	18.7
34.6	38.1
36.6	24.1
42.8	40.2
56.4	20.1
58.8	18.0

Crystal structure
```
Li2Mn2SbO6
1.0
4.5817 -2.7893 0.0000
4.5817 2.7893 0.0000
0.0000 0.0000 10.2911
Li Mn Sb O
4 4 2 12
direct
0.1072 0.3928 0.2500
0.3928 0.1072 0.7500
0.6072 0.8928 0.2500
0.8928 0.6072 0.7500
0.1657 0.1657 0.0000
0.3343 0.3343 0.5000
0.6657 0.6657 0.5000
0.8343 0.8343 0.0000
0.0000 0.0000 0.5000
0.5000 0.5000 0.0000
0.0446 0.2913 0.6138
0.1818 0.8182 0.0887
0.2087 0.4554 0.8862
0.2913 0.0446 0.3862
0.3182 0.6818 0.5887
0.4554 0.2087 0.1138
0.5446 0.7913 0.8862
0.6818 0.3182 0.4113
0.7087 0.9554 0.6138
0.7913 0.5446 0.1138
0.8182 0.1818 0.9113
0.9554 0.7087 0.3862
```

=====

Entry 2:
Simulated X-ray powder pattern
Compound: Li6Mn5SbO12
Radiation: λ = 1.5418 Å (Cu Kα)
Structure: DFT lattice parameters and positions (PBE+U)

Peak list (8 most intense, 2θ = 5–70°, by angle)
2theta	Rel. int.
17.0	100.0
32.8	12.4
34.6	14.4
35.6	22.4
39.6	13.0
41.3	22.6
44.6	19.5
58.6	12.5

Crystal structure
```
Li6Mn5SbO12
1.0
5.5362 0.0000 0.0000
-0.0005 9.0862 0.0000
-1.0982 -4.5392 10.4094
Li Mn Sb O
12 10 2 24
direct
0.0000 0.0000 0.0000
0.9998 0.3382 0.9994
0.2893 0.7898 0.5724
0.2915 0.1280 0.5708
0.2947 0.4539 0.5696
0.4959 0.1702 0.0018
0.5003 0.5041 0.9996
0.5004 0.8435 0.0001
0.7897 0.6255 0.5726
0.7920 0.2864 0.5709
0.7940 0.9589 0.5694
0.9967 0.6747 0.0020
0.1453 0.0646 0.7856
0.1453 0.3962 0.7862
0.1457 0.7299 0.7854
0.3953 0.1481 0.2856
0.3956 0.4825 0.2860
0.6451 0.2330 0.7860
0.6454 0.8985 0.7852
0.6455 0.5643 0.7858
0.8956 0.6473 0.2861
0.8955 0.9812 0.2855
0.3956 0.8197 0.2857
0.8954 0.3097 0.2857
0.0150 0.0902 0.1823
0.0252 0.4092 0.1784
0.0547 0.7808 0.1861
0.2362 0.3485 0.3852
0.2660 0.7207 0.3934
0.2759 0.0392 0.3888
0.2923 0.6175 0.8943
0.3014 0.9424 0.9016
0.3042 0.3015 0.9019
0.4868 0.6866 0.6699
0.4889 0.3276 0.6696
0.4986 0.0120 0.6771
0.5147 0.9362 0.1824
0.5249 0.6126 0.1783
0.5543 0.2493 0.1863
0.7368 0.8803 0.3851
0.7659 0.5166 0.3936
0.7761 0.1929 0.3885
0.7917 0.1198 0.8939
0.8010 0.8027 0.9014
0.8043 0.4431 0.9018
0.9876 0.8260 0.6700
0.9886 0.1854 0.6696
0.9992 0.5083 0.6775
```

=====

Entry 3:
Simulated X-ray powder pattern
Compound: Li4Mn3SbO8
Radiation: λ = 1.5418 Å (Cu Kα)
Structure: DFT lattice parameters and positions (PBE+U)

Peak list (8 most intense, 2θ = 5–70°, by angle)
2theta	Rel. int.
17.5	20.5
18.0	100.0
20.3	7.8
33.7	34.6
34.0	19.3
35.4	14.4
41.2	52.0
41.8	25.4

Crystal structure
```
Li4Mn3SbO8
1.0
6.0795 0.0000 0.0000
0.0839 6.2214 0.0000
0.2335 0.0143 8.7687
Li Mn Sb O
8 6 2 16
direct
0.0000 0.0000 0.0000
0.0006 0.4959 0.0002
0.2376 0.7472 0.2458
0.2507 0.2475 0.2516
0.4951 0.4937 0.4994
0.5012 0.9954 0.4999
0.7392 0.2470 0.7461
0.7517 0.7470 0.7550
0.9998 0.4982 0.5019
0.0018 0.9980 0.5011
0.2455 0.2473 0.7492
0.5005 0.4972 0.0013
0.5005 0.9978 0.0019
0.7451 0.7474 0.2492
0.2515 0.7477 0.7513
0.7512 0.2474 0.2513
0.0111 0.9793 0.7566
0.0166 0.5213 0.7525
0.2196 0.2219 0.5036
0.2504 0.7398 0.9857
0.2512 0.7557 0.5176
0.2826 0.2751 0.9958
0.4837 0.9767 0.7505
0.4894 0.5142 0.7455
0.5107 0.4789 0.2564
0.5165 0.0211 0.2525
0.7182 0.7203 0.0035
0.7505 0.2553 0.0174
0.7510 0.2398 0.4854
0.7845 0.7763 0.4950
0.9832 0.4769 0.2501
0.9896 0.0147 0.2448
```

=====

Entry 4:
Simulated X-ray powder pattern
Compound: Li6Mn5SbO12
Radiation: λ = 1.5418 Å (Cu Kα)
Structure: DFT lattice parameters and positions (PBE+U)

Peak list (8 most intense, 2θ = 5–70°, by angle)
2theta	Rel. int.
17.1	100.0
32.5	13.6
34.5	20.0
35.1	14.6
35.4	22.2
41.8	22.9
44.1	20.4
58.6	13.8

Crystal structure
```
Li6Mn5SbO12
1.0
2.7763 -4.5359 0.0000
2.7763 4.5359 0.0000
-1.1612 0.0000 10.3828
Li Mn Sb O
6 5 1 12
direct
0.0631 0.4021 0.2145
0.2641 0.2641 0.7853
0.4021 0.0631 0.2145
0.5979 0.9369 0.7855
0.7359 0.7359 0.2147
0.9369 0.5979 0.7855
0.0000 0.0000 0.0000
0.1669 0.8331 0.5000
0.3323 0.6677 0.0000
0.6677 0.3323 0.0000
0.8331 0.1669 0.5000
0.5000 0.5000 0.5000
0.0690 0.7133 0.1165
0.1744 0.4977 0.3939
0.2012 0.2012 0.5991
0.2867 0.9310 0.8835
0.3966 0.3966 0.1089
0.4977 0.1744 0.3939
0.5023 0.8256 0.6061
0.6034 0.6034 0.8911
0.7133 0.0690 0.1165
0.7988 0.7988 0.4009
0.8256 0.5023 0.6061
0.9310 0.2867 0.8835
```

=====

Entry 5:
Simulated X-ray powder pattern
Compound: Li5Mn3Sb2O10
Radiation: λ = 1.5418 Å (Cu Kα)
Structure: DFT lattice parameters and positions (PBE+U)

Peak list (8 most intense, 2θ = 5–70°, by angle)
2theta	Rel. int.
17.2	53.3
17.5	100.0
21.5	30.6
25.0	29.1
34.9	31.8
40.0	45.3
41.0	46.9
41.1	43.7

Crystal structure
```
Li5Mn3Sb2O10
1.0
5.3683 0.0000 0.0000
2.6716 7.8765 0.0000
1.9412 2.9083 10.3094
Li Mn Sb O
10 6 4 20
direct
0.0000 0.0000 0.0000
0.0054 0.0106 0.4935
0.0100 0.1689 0.6829
0.0181 0.1599 0.1995
0.4642 0.9148 0.6175
0.4873 0.8868 0.1294
0.9590 0.6350 0.5484
0.9715 0.7952 0.7509
0.9819 0.8056 0.2551
0.9920 0.5972 0.0765
0.4785 0.5047 0.2183
0.4804 0.5101 0.7165
0.4814 0.2898 0.5302
0.4877 0.2914 0.0351
0.9844 0.3995 0.8761
0.9931 0.3909 0.3759
0.4608 0.7027 0.4212
0.4689 0.7075 0.9210
0.5028 0.0963 0.8273
0.5108 0.0963 0.3220
0.2173 0.1581 0.5151
0.2172 0.3732 0.1877
0.2287 0.7457 0.5836
0.2384 0.9118 0.3029
0.2402 0.5761 0.8895
0.2450 0.7515 0.0798
0.2470 0.5503 0.4030
0.2576 0.1513 0.9834
0.2622 0.3194 0.7207
0.2735 0.9470 0.8067
0.6921 0.8412 0.4475
0.6972 0.8576 0.9410
0.7004 0.4837 0.5347
0.7093 0.4865 0.0301
0.7113 0.6479 0.2653
0.7155 0.6492 0.7661
0.7255 0.2377 0.8516
0.7273 0.0523 0.6678
0.7498 0.2353 0.3553
0.7537 0.0554 0.1526
```

=====

Entry 6:
Simulated X-ray powder pattern
Compound: Li5Mn3Sb2O10
Radiation: λ = 1.5418 Å (Cu Kα)
Structure: DFT lattice parameters and positions (PBE+U)

Peak list (8 most intense, 2θ = 5–70°, by angle)
2theta	Rel. int.
17.3	52.4
17.5	100.0
21.5	31.3
25.0	27.2
35.0	44.0
40.1	51.0
40.8	44.8
41.2	43.7

Crystal structure
```
Li5Mn3Sb2O10
1.0
5.3744 0.0000 0.0000
-0.9796 5.3331 0.0000
-2.6678 -2.1879 7.5903
Li Mn Sb O
5 3 2 10
direct
0.0000 0.0000 0.0000
0.2080 0.1219 0.7249
0.3852 0.7409 0.8993
0.6148 0.2591 0.1007
0.7920 0.8781 0.2751
0.0000 0.5000 0.5000
0.3950 0.1900 0.3928
0.6050 0.8100 0.6072
0.2139 0.5984 0.1967
0.7861 0.4016 0.8033
0.0145 0.2734 0.2513
0.1686 0.3602 0.9531
0.1941 0.8257 0.4248
0.4043 0.9288 0.1542
0.4136 0.4499 0.6580
0.5864 0.5501 0.3420
0.5957 0.0712 0.8458
0.8059 0.1743 0.5752
0.8314 0.6398 0.0469
0.9855 0.7266 0.7487
```

=====

Entry 7:
Simulated X-ray powder pattern
Compound: Li4Mn3SbO8
Radiation: λ = 1.5418 Å (Cu Kα)
Structure: DFT lattice parameters and positions (PBE+U)

Peak list (8 most intense, 2θ = 5–70°, by angle)
2theta	Rel. int.
17.5	20.4
18.0	100.0
33.7	34.6
34.1	17.4
35.5	21.5
41.2	51.9
41.9	25.2
59.6	15.0

Crystal structure
```
Li4Mn3SbO8
1.0
6.1289 0.0000 0.0000
-0.0075 6.2610 0.0000
-0.2174 -0.0007 8.6299
Li Mn Sb O
8 6 2 16
direct
0.0000 0.0000 0.0000
0.0001 0.4999 0.0000
0.2452 0.2504 0.7512
0.2499 0.7549 0.7502
0.5000 0.0000 0.5000
0.5008 0.4992 0.5000
0.7503 0.2450 0.2497
0.7557 0.7500 0.2487
0.9999 0.0002 0.5000
0.0000 0.5000 0.4999
0.2532 0.7486 0.2496
0.5000 0.9999 0.0000
0.5002 0.4999 0.0001
0.7472 0.2513 0.7507
0.2497 0.2516 0.2499
0.7503 0.7483 0.7501
0.0150 0.0199 0.2585
0.0158 0.4803 0.2439
0.2173 0.7773 0.4974
0.2399 0.2506 0.0144
0.2600 0.2501 0.4850
0.2826 0.7760 0.0020
0.4845 0.4801 0.2564
0.4859 0.0215 0.2405
0.5143 0.9785 0.7595
0.5157 0.5197 0.7437
0.7176 0.2237 0.9981
0.7401 0.7500 0.5150
0.7603 0.7492 0.9855
0.7824 0.2231 0.5025
0.9844 0.5198 0.7560
0.9850 0.9802 0.7416
```

=====

Entry 8:
Simulated X-ray powder pattern
Compound: Li4Mn3SbO8
Radiation: λ = 1.5418 Å (Cu Kα)
Structure: DFT lattice parameters and positions (PBE+U)

Peak list (8 most intense, 2θ = 5–70°, by angle)
2theta	Rel. int.
17.5	20.4
18.0	100.0
33.7	15.8
33.8	36.4
35.5	14.3
41.4	51.4
41.5	26.0
60.7	14.2

Crystal structure
```
Li4Mn3SbO8
1.0
6.1001 0.0000 0.0000
2.9457 5.3502 0.0000
2.9169 1.7399 5.0795
Li Mn Sb O
4 3 1 8
direct
0.0000 0.0000 0.0000
0.0010 0.4988 0.5009
0.5002 0.4996 0.0021
0.5021 0.9913 0.5022
0.0008 0.9996 0.5003
0.5010 0.9997 0.0011
0.5034 0.4919 0.5037
0.0007 0.4995 0.0007
0.2292 0.2616 0.7694
0.2335 0.7283 0.7722
0.2405 0.2679 0.2311
0.2820 0.7786 0.2291
0.7244 0.2169 0.7753
0.7609 0.7313 0.7695
0.7703 0.2682 0.2268
0.7721 0.7344 0.2342
```

=====

- What is the formula in the fifth record?
  Li5Mn3Sb2O10

=====

- Which formula does entry 3 have?
  Li4Mn3SbO8

=====

Please write out number 4 again, unchanged.
Simulated X-ray powder pattern
Compound: Li6Mn5SbO12
Radiation: λ = 1.5418 Å (Cu Kα)
Structure: DFT lattice parameters and positions (PBE+U)

Peak list (8 most intense, 2θ = 5–70°, by angle)
2theta	Rel. int.
17.1	100.0
32.5	13.6
34.5	20.0
35.1	14.6
35.4	22.2
41.8	22.9
44.1	20.4
58.6	13.8

Crystal structure
```
Li6Mn5SbO12
1.0
2.7763 -4.5359 0.0000
2.7763 4.5359 0.0000
-1.1612 0.0000 10.3828
Li Mn Sb O
6 5 1 12
direct
0.0631 0.4021 0.2145
0.2641 0.2641 0.7853
0.4021 0.0631 0.2145
0.5979 0.9369 0.7855
0.7359 0.7359 0.2147
0.9369 0.5979 0.7855
0.0000 0.0000 0.0000
0.1669 0.8331 0.5000
0.3323 0.6677 0.0000
0.6677 0.3323 0.0000
0.8331 0.1669 0.5000
0.5000 0.5000 0.5000
0.0690 0.7133 0.1165
0.1744 0.4977 0.3939
0.2012 0.2012 0.5991
0.2867 0.9310 0.8835
0.3966 0.3966 0.1089
0.4977 0.1744 0.3939
0.5023 0.8256 0.6061
0.6034 0.6034 0.8911
0.7133 0.0690 0.1165
0.7988 0.7988 0.4009
0.8256 0.5023 0.6061
0.9310 0.2867 0.8835
```